1.
Dy2Ge2O7: calculated PXRD pattern (Cu Kα, 1.54184 Å), based on a cell relaxed with GGA-PBE.

Cell and atoms:
```
Dy2Ge2O7
1.0
5.3725 0.0000 0.0000
0.0000 8.1106 0.0000
-2.4777 0.0000 7.2305
Dy Ge O
4 4 14
Direct
0.0000 0.0000 0.0000
0.0000 0.5000 0.0000
0.5000 0.0000 0.5000
0.5000 0.5000 0.5000
0.0371 0.2500 0.6132
0.4017 0.7500 0.8241
0.5983 0.2500 0.1759
0.9629 0.7500 0.3868
0.0284 0.5649 0.2922
0.0284 0.9351 0.2922
0.1742 0.7500 0.9444
0.2678 0.7500 0.5742
0.3244 0.2500 0.5530
0.4141 0.0699 0.1706
0.4141 0.4301 0.1706
0.5859 0.5699 0.8294
0.5859 0.9301 0.8294
0.6756 0.7500 0.4470
0.7322 0.2500 0.4258
0.8258 0.2500 0.0556
0.9716 0.0649 0.7078
0.9716 0.4351 0.7078
```

Largest 10 diffraction maxima, by angle, 2θ = 10–80°:
two_theta, Rel. int.
17.78, 25
24.46, 27
24.62, 26
28.36, 100
33.07, 27
33.20, 26
35.32, 24
35.68, 24
44.69, 18
51.65, 21

---

2.
Dy2Ge2O7: calculated PXRD pattern (Cu Kα, 1.54184 Å), based on a cell relaxed with GGA-PBE.

Cell and atoms:
```
Dy2Ge2O7
1.0
3.5205 -4.6122 0.0000
3.5205 4.6122 0.0000
-1.0679 0.0000 4.8980
Dy Ge O
2 2 7
Direct
0.0000 0.0000 0.0000
0.6126 0.3874 0.0000
0.0784 0.4631 0.5912
0.5369 0.9216 0.4088
0.2238 0.2921 0.7876
0.3177 0.6823 0.5000
0.3874 0.0889 0.2123
0.7046 0.0931 0.7239
0.7079 0.7762 0.2124
0.9069 0.2954 0.2761
0.9111 0.6126 0.7877
```

Largest 10 diffraction maxima, by angle, 2θ = 10–80°:
two_theta, Rel. int.
16.07, 20
18.11, 26
26.32, 36
26.55, 100
28.35, 58
31.88, 31
32.47, 41
45.12, 20
51.62, 23
56.41, 25

---

3.
Dy2Ge2O7: calculated PXRD pattern (Cu Kα, 1.54184 Å), based on a cell relaxed with GGA-PBE.

Cell and atoms:
```
Dy2Ge2O7
1.0
13.9516 0.0000 0.0000
0.0000 8.3143 0.0000
0.0000 0.0000 5.2913
Dy Ge O
8 8 28
Direct
0.1246 0.0146 0.1631
0.1246 0.4854 0.1631
0.3754 0.5146 0.6631
0.3754 0.9854 0.6631
0.6246 0.0146 0.3369
0.6246 0.4854 0.3369
0.8754 0.5146 0.8369
0.8754 0.9854 0.8369
0.0493 0.7500 0.6306
0.1865 0.2500 0.6323
0.3135 0.7500 0.1323
0.4507 0.2500 0.1306
0.5493 0.7500 0.8694
0.6865 0.2500 0.8677
0.8135 0.7500 0.3677
0.9507 0.2500 0.3694
0.0499 0.5717 0.8056
0.0499 0.9283 0.8056
0.0826 0.2500 0.4218
0.1076 0.7500 0.3356
0.1552 0.2500 0.9512
0.2363 0.0721 0.5052
0.2363 0.4279 0.5052
0.2637 0.5721 0.0052
0.2637 0.9279 0.0052
0.3448 0.7500 0.4512
0.3924 0.2500 0.8356
0.4174 0.7500 0.9218
0.4501 0.0717 0.3056
0.4501 0.4283 0.3056
0.5499 0.5717 0.6944
0.5499 0.9283 0.6944
0.5826 0.2500 0.0782
0.6076 0.7500 0.1644
0.6552 0.2500 0.5488
0.7363 0.0721 0.9948
0.7363 0.4279 0.9948
0.7637 0.5721 0.4948
0.7637 0.9279 0.4948
0.8448 0.7500 0.0488
0.8924 0.2500 0.6644
0.9174 0.7500 0.5782
0.9501 0.0717 0.1944
0.9501 0.4283 0.1944
```

Largest 10 diffraction maxima, by angle, 2θ = 10–80°:
two_theta, Rel. int.
21.07, 49
25.53, 40
27.73, 26
28.04, 50
30.19, 100
33.53, 39
34.50, 25
42.46, 33
43.54, 22
62.46, 33